[1]
Structure and theoretical X-ray powder pattern of SrSm4Te6 (a GGA-PBE-relaxed structure; Cu Kα (λ = 1.5418 Å)).
Peak positions follow from Bragg's law for the DFT cell and can differ from measured ones.

Cell and atoms:
a = 4.4545 Å, b = 14.6144 Å, c = 22.9944 Å
α = 90.00°, β = 90.00°, γ = 90.00°
Space group Cmcm (No. 63)
Inequivalent atoms, fractional coordinates:
Sr  0.0000  0.1598  0.2500 (multiplicity 4)
Sm  0.0000  0.0901  0.6271 (multiplicity 8)
Sm  0.0000  0.3599  0.5379 (multiplicity 8)
Te  0.0000  0.0000  0.0000 (multiplicity 4)
Te  0.0000  0.1744  0.7500 (multiplicity 4)
Te  0.0000  0.2687  0.0889 (multiplicity 8)
Te  0.0000  0.4511  0.6621 (multiplicity 8)

Most intense lines, 2θ from 15° to 90°, low angle first:
| d/Å | I/Imax | (hkl) |
| --- | --- | --- |
| 3.394 | 599 | 0 2 6 |
| 3.254 | 615 | 1 3 1 |
| 3.161 | 1000 | 1 3 2 |
| 3.021 | 642 | 1 3 3 |
| 2.996 | 383 | 0 2 7 |
| 2.383 | 386 | 1 1 8 |
| 2.249 | 378 | 1 5 4 |
| 2.227 | 426 | 2 0 0 |

---

[2]
Structure and theoretical X-ray powder pattern of Cd3Hg5H2 (a GGA-PBE-relaxed structure; Cu Kα (λ = 1.5418 Å)).
Peak positions follow from Bragg's law for the DFT cell and can differ from measured ones.

Cell and atoms:
a = 5.9656 Å, b = 9.4103 Å, c = 10.0707 Å
α = 109.22°, β = 100.95°, γ = 103.94°
Space group P-1 (No. 2)
Inequivalent atoms, fractional coordinates:
Cd  0.1561  0.1035  0.4556 (multiplicity 2)
Cd  0.1843  0.7254  0.4167 (multiplicity 2)
Cd  0.3002  0.1377  0.8099 (multiplicity 2)
Hg  0.0921  0.1284  0.1569 (multiplicity 2)
Hg  0.1243  0.4486  0.1560 (multiplicity 2)
Hg  0.1843  0.8082  0.1542 (multiplicity 2)
Hg  0.3574  0.4804  0.8411 (multiplicity 2)
Hg  0.3992  0.8232  0.8533 (multiplicity 2)
H  0.0508  0.2946  0.4875 (multiplicity 2)
H  0.4871  0.1950  0.4844 (multiplicity 2)

Most intense lines, 2θ from 15° to 90°, low angle first:
| d/Å | I/Imax | (hkl) |
| --- | --- | --- |
| 3.030 | 1000 | 0 0 3 |
| 2.911 | 246 | 1 -3 0 |
| 2.895 | 567 | 2 0 -1 |
| 2.799 | 539 | 0 3 0 |
| 2.749 | 339 | 2 0 -2 |
| 2.637 | 694 | 0 3 -3 |
| 2.454 | 362 | 2 0 1 |
| 2.420 | 228 | 0 3 1 |

---

[3]
Structure and theoretical X-ray powder pattern of MgPt6 (a GGA-PBE-relaxed structure; Cu Kα (λ = 1.5418 Å)).
Peak positions follow from Bragg's law for the DFT cell and can differ from measured ones.

Cell and atoms:
a = 7.0312 Å, b = 7.0312 Å, c = 7.0312 Å
α = 90.00°, β = 90.00°, γ = 90.00°
Space group Im-3m (No. 229)
Inequivalent atoms, fractional coordinates:
Mg  0.0000  0.0000  0.0000 (multiplicity 2)
Pt  0.0000  0.2500  0.5000 (multiplicity 12)

Most intense lines, 2θ from 15° to 90°, low angle first:
| d/Å | I/Imax | (hkl) |
| --- | --- | --- |
| 4.972 | 1000 | 1 1 0 |
| 3.516 | 290 | 2 0 0 |
| 2.870 | 687 | 2 1 1 |
| 2.223 | 259 | 3 1 0 |
| 2.030 | 652 | 2 2 2 |
| 1.879 | 409 | 3 2 1 |
| 1.758 | 343 | 4 0 0 |
| 1.243 | 222 | 4 4 0 |

---

Number 2 is which compound?
Cd3Hg5H2